1.
Sm2ZnPtO6: simulated X-ray diffraction stick pattern (Cu Kα (weighted mean of Kα1 and Kα2)), based on a PBE-relaxed structure.
Intensities are scaled so that the largest is 100.

a = 5.461 Å, b = 5.825 Å, c = 9.524 Å
α = 90.00°, β = 124.76°, γ = 90.00°
Sites, in units of the cell vectors:
1 Sm 0.229 0.073 0.251
2 Sm 0.229 0.427 0.751
3 Sm 0.771 0.573 0.249
4 Sm 0.771 0.927 0.749
5 Zn 0.500 0.000 0.000
6 Zn 0.500 0.500 0.500
7 Pt 0.000 0.000 0.500
8 Pt 0.000 0.500 0.000
9 O 0.125 0.202 0.940
10 O 0.125 0.298 0.440
11 O 0.250 0.693 0.944
12 O 0.250 0.807 0.444
13 O 0.362 0.041 0.747
14 O 0.362 0.459 0.247
15 O 0.638 0.541 0.753
16 O 0.638 0.959 0.253
17 O 0.750 0.193 0.556
18 O 0.750 0.307 0.056
19 O 0.875 0.702 0.560
20 O 0.875 0.798 0.060

Principal peaks in the range 10° ≤ 2θ ≤ 90°, sorted by position:
two_theta	I_rel
19.0	11
19.8	10
25.1	12
30.7	20
32.1	100
32.8	32
45.5	17
46.4	13
58.0	11
58.2	18

---

2.
Ba4PrRu3O12: simulated X-ray diffraction stick pattern (Cu Kα (weighted mean of Kα1 and Kα2)), based on a PBE-relaxed structure.
Intensities are scaled so that the largest is 100.

a = 5.991 Å, b = 5.991 Å, c = 30.024 Å
α = 90.93°, β = 90.93°, γ = 60.07°
Sites, in units of the cell vectors:
1 Ba 0.002 0.002 0.218
2 Ba 0.003 0.003 0.368
3 Ba 0.332 0.332 0.448
4 Ba 0.334 0.334 0.036
5 Ba 0.335 0.335 0.296
6 Ba 0.337 0.337 0.885
7 Ba 0.663 0.663 0.115
8 Ba 0.665 0.665 0.704
9 Ba 0.666 0.666 0.964
10 Ba 0.668 0.668 0.552
11 Ba 0.997 0.997 0.632
12 Ba 0.998 0.998 0.782
13 Pr 0.000 0.000 0.500
14 Pr 0.333 0.333 0.167
15 Pr 0.667 0.667 0.833
16 Ru 0.000 0.000 0.000
17 Ru 0.006 0.006 0.915
18 Ru 0.329 0.329 0.752
19 Ru 0.333 0.333 0.667
20 Ru 0.337 0.337 0.582
21 Ru 0.663 0.663 0.418
22 Ru 0.667 0.667 0.333
23 Ru 0.671 0.671 0.248
24 Ru 0.994 0.994 0.085
25 O 0.014 0.480 0.785
26 O 0.024 0.490 0.624
27 O 0.141 0.141 0.126
28 O 0.142 0.678 0.118
29 O 0.158 0.158 0.962
30 O 0.158 0.692 0.957
31 O 0.175 0.642 0.709
32 O 0.177 0.177 0.706
33 O 0.186 0.650 0.547
34 O 0.187 0.187 0.543
35 O 0.308 0.842 0.043
36 O 0.322 0.858 0.882
37 O 0.350 0.814 0.453
38 O 0.358 0.825 0.291
39 O 0.479 0.479 0.790
40 O 0.480 0.014 0.785
41 O 0.489 0.489 0.628
42 O 0.490 0.024 0.624
43 O 0.510 0.976 0.376
44 O 0.511 0.511 0.372
45 O 0.520 0.986 0.215
46 O 0.521 0.521 0.210
47 O 0.642 0.175 0.709
48 O 0.650 0.186 0.547
49 O 0.678 0.142 0.118
50 O 0.692 0.158 0.957
51 O 0.813 0.813 0.457
52 O 0.814 0.350 0.453
53 O 0.823 0.823 0.294
54 O 0.825 0.358 0.291
55 O 0.842 0.308 0.043
56 O 0.842 0.842 0.038
57 O 0.858 0.322 0.882
58 O 0.859 0.859 0.874
59 O 0.976 0.510 0.376
60 O 0.986 0.520 0.215

Principal peaks in the range 10° ≤ 2θ ≤ 90°, sorted by position:
two_theta	I_rel
26.7	23
27.1	42
29.2	13
29.8	100
40.4	25
41.0	13
45.6	11
52.9	16
55.9	8
62.0	12

---

3.
Mn2SbTe: simulated X-ray diffraction stick pattern (Cu Kα (weighted mean of Kα1 and Kα2)), based on a PBE-relaxed structure.
Intensities are scaled so that the largest is 100.

a = 3.862 Å, b = 6.618 Å, c = 7.244 Å
α = 90.06°, β = 90.06°, γ = 90.30°
Sites, in units of the cell vectors:
1 Mn 0.000 0.000 0.000
2 Mn 0.000 0.334 0.512
3 Mn 0.502 0.494 0.012
4 Mn 0.508 0.828 0.502
5 Sb 0.005 0.663 0.258
6 Sb 0.499 0.164 0.754
7 Te 0.004 0.665 0.762
8 Te 0.507 0.161 0.253

Principal peaks in the range 10° ≤ 2θ ≤ 90°, sorted by position:
two_theta	I_rel
26.7	30
26.8	30
26.9	29
36.6	100
36.7	65
36.8	33
47.1	22
47.3	22
47.6	22
50.4	18